LiFeF4: calculated powder diffraction line list (λ = 1.5418 Å (Cu Kα)), based on a DFT-relaxed cell (GGA+U, Alexandria).

Most intense lines, 2θ = 10–90°, in order of falling intensity:
(1 0 1), 17.3°, d 5.124, I = 100
(0 2 1), 28.6°, d 3.120, I = 73
(2 -1 1), 25.4°, d 3.509, I = 66
(3 -2 2), 42.1°, d 2.147, I = 53
(1 0 2), 26.4°, d 3.378, I = 49
(1 3 1), 49.7°, d 1.836, I = 32
(1 1 0), 22.6°, d 3.932, I = 30
(1 0 0), 13.0°, d 6.811, I = 29
(3 -2 3), 49.9°, d 1.827, I = 21
(2 -1 3), 41.7°, d 2.165, I = 20
(0 2 4), 54.3°, d 1.689, I = 20
(5 -2 1), 60.4°, d 1.532, I = 16

Cell and atoms:
a b c (Å): 7.864 7.864 7.780
angles (deg): 90.00 90.00 120.00
Fractional coordinates of all 36 atoms:
Li  0.004  0.365  0.000
Li  0.195  0.135  0.387
Li  0.361  0.996  0.667
Li  0.635  0.639  0.333
Li  0.865  0.060  0.721
Li  0.940  0.805  0.054
Fe  0.135  0.673  0.368
Fe  0.327  0.463  0.701
Fe  0.417  0.244  0.067
Fe  0.537  0.865  0.034
Fe  0.756  0.173  0.401
Fe  0.827  0.583  0.734
F  0.050  0.353  0.737
F  0.083  0.718  0.615
F  0.155  0.052  0.136
F  0.282  0.365  0.948
F  0.282  0.705  0.151
F  0.295  0.577  0.485
F  0.300  0.218  0.627
F  0.303  0.950  0.404
F  0.404  0.014  0.937
F  0.419  0.379  0.273
F  0.423  0.718  0.818
F  0.600  0.384  0.869
F  0.610  0.596  0.604
F  0.616  0.216  0.202
F  0.621  0.040  0.606
F  0.635  0.917  0.282
F  0.647  0.697  0.071
F  0.782  0.081  0.960
F  0.784  0.400  0.536
F  0.897  0.845  0.802
F  0.919  0.700  0.293
F  0.948  0.103  0.469
F  0.960  0.581  0.940
F  0.986  0.390  0.270